Simulated powder diffraction line list
Compound: NdY2Ni6
Radiation: Cu Ka
Structure: a GGA-PBE-relaxed structure

Largest 12 diffraction maxima, by angle, 5 to 70 degrees two-theta:
2θ 14.79, I 35
2θ 25.77, I 67
2θ 27.39, I 21
2θ 29.84, I 9
2θ 34.76, I 1000
2θ 45.44, I 436
2θ 46.45, I 9
2θ 46.83, I 133
2θ 52.98, I 10
2θ 54.22, I 18
2θ 58.45, I 212
2θ 67.31, I 254

Structure:
Cell: 6.914 6.914 3.880 Å, 90.00 90.00 120.00°
Atoms (fractional coordinates):
Nd: 0.000 0.000 0.000
Y: 0.333 0.667 0.000
Y: 0.667 0.333 0.000
Ni: 0.000 0.335 0.500
Ni: 0.000 0.665 0.500
Ni: 0.335 0.000 0.500
Ni: 0.335 0.335 0.500
Ni: 0.665 0.000 0.500
Ni: 0.665 0.665 0.500

Simulated powder diffraction line list
Compound: Hf3FeBi
Radiation: Cu Ka
Structure: a GGA-PBE-relaxed structure

Largest 12 diffraction maxima, by angle, 5 to 70 degrees two-theta:
2θ 29.43, I 335
2θ 30.12, I 328
2θ 30.73, I 529
2θ 32.50, I 739
2θ 33.28, I 346
2θ 34.94, I 878
2θ 36.98, I 807
2θ 38.50, I 1000
2θ 41.52, I 341
2θ 42.88, I 412
2θ 52.82, I 383
2θ 59.81, I 329

Structure:
Cell: 8.215 8.215 9.527 Å, 121.22 121.22 24.36°
Atoms (fractional coordinates):
Hf: 0.037 0.037 0.182
Hf: 0.277 0.277 0.728
Hf: 0.342 0.342 0.132
Hf: 0.658 0.658 0.868
Hf: 0.723 0.723 0.272
Hf: 0.963 0.963 0.818
Fe: 0.145 0.145 0.049
Fe: 0.855 0.855 0.951
Bi: 0.402 0.402 0.519
Bi: 0.598 0.598 0.481

Simulated powder diffraction line list
Compound: K3Ce3HfO8
Radiation: Cu Ka
Structure: a GGA-PBE-relaxed structure

Largest 12 diffraction maxima, by angle, 5 to 70 degrees two-theta:
2θ 13.94, I 1000
2θ 28.09, I 275
2θ 29.54, I 365
2θ 30.66, I 573
2θ 34.82, I 793
2θ 37.67, I 142
2θ 44.52, I 198
2θ 48.40, I 260
2θ 51.70, I 250
2θ 53.82, I 186
2θ 56.90, I 139
2θ 59.86, I 204

Structure:
Cell: 7.553 7.553 7.553 Å, 55.83 55.83 55.83°
Atoms (fractional coordinates):
K: 0.000 0.500 0.500
K: 0.500 0.000 0.500
K: 0.500 0.500 0.000
Ce: 0.000 0.000 0.500
Ce: 0.000 0.500 0.000
Ce: 0.500 0.000 0.000
Hf: 0.500 0.500 0.500
O: 0.231 0.231 0.231
O: 0.259 0.707 0.707
O: 0.293 0.293 0.741
O: 0.293 0.741 0.293
O: 0.707 0.259 0.707
O: 0.707 0.707 0.259
O: 0.741 0.293 0.293
O: 0.769 0.769 0.769